Entry 1:
# TbNdHg4
Calculated powder XRD pattern, Cu Kα X-rays. Input: a DFT-relaxed cell (PBE, Alexandria).
Lines closer than 0.1° are merged.

Cell and atoms:
```
12
Lattice="10.7584 0.0000 0.0000 0.0000 3.9338 0.0000 -2.8256 0.0000 7.3835" Properties=species:S:1:pos:R:3 pbc="T T T"
Tb 0.0000 0.0000 0.0000
Tb 5.3792 1.9669 0.0000
Nd -1.4128 0.0000 3.6918
Nd 3.9664 1.9669 3.6918
Hg 0.8841 1.9669 2.4052
Hg -0.5640 1.9669 6.2157
Hg 3.1177 0.0000 1.1679
Hg 1.6695 0.0000 4.9784
Hg 6.2634 0.0000 2.4052
Hg 4.8152 0.0000 6.2157
Hg 8.4969 1.9669 1.1679
Hg 7.0487 1.9669 4.9784
```

Top 10 peaks for 15° ≤ 2θ ≤ 90°, in order of rising 2θ:
(hkl), d [Å], I_rel
1 1 -2, 2.788, 100
2 0 2, 2.569, 40
3 1 0, 2.550, 79
4 0 -2, 2.542, 39
2 0 -4, 1.976, 18
0 2 0, 1.967, 19
1 1 4, 1.568, 18
2 2 2, 1.562, 18
4 2 -2, 1.556, 35
5 1 2, 1.440, 14



Entry 2:
# W4ICl7
Calculated powder XRD pattern, Cu Kα X-rays. Input: a DFT-relaxed cell (PBE, Alexandria).
Lines closer than 0.1° are merged.

Cell and atoms:
```
24
Lattice="6.0445 0.0000 0.0000 -1.8382 8.7627 0.0000 -0.9547 -0.2703 13.6934" Properties=species:S:1:pos:R:3 pbc="T T T"
W 0.0000 0.0000 0.0000
W -0.4235 -0.0619 7.0414
W -0.0038 7.0212 13.4307
W 1.4982 7.7314 6.5980
W 2.5357 5.7132 5.8297
W 2.9151 6.9957 1.2847
W 2.3913 6.2927 12.5773
W 3.4204 6.5726 8.2074
I -0.0687 5.0024 11.5398
I 1.0104 3.8290 4.6837
Cl -1.3410 5.1666 6.7304
Cl -0.6833 1.6583 8.5310
Cl -0.6498 8.2808 5.3251
Cl -0.4091 7.7524 8.4907
Cl 0.9698 -0.0113 11.9803
Cl 0.5875 5.6288 1.4227
Cl 1.9494 0.1477 1.3571
Cl 1.7253 4.8381 8.0335
Cl 3.6174 4.7771 0.4406
Cl 4.0893 0.8934 5.3854
Cl 2.6517 7.4210 10.3816
Cl 3.5572 6.1101 3.6352
Cl 3.9879 1.4312 12.6083
Cl 4.9663 0.4786 2.1731
```

Top 10 peaks for 15° ≤ 2θ ≤ 90°, in order of rising 2θ:
(hkl), d [Å], I_rel
1 0 0, 5.900, 13
0 1 -2, 5.444, 100
0 1 2, 5.344, 22
1 0 -2, 4.638, 17
1 2 0, 3.213, 20
1 1 4, 2.640, 15
-1 2 4, 2.620, 15
2 1 2, 2.407, 11
1 2 4, 2.282, 12
-1 3 4, 2.213, 12



Entry 3:
# Er6TlTe8
Calculated powder XRD pattern, Cu Kα X-rays. Input: a DFT-relaxed cell (PBE, Alexandria).
Lines closer than 0.1° are merged.

Cell and atoms:
```
15
Lattice="11.5787 0.0000 0.0000 -5.7894 10.0275 0.0000 0.0000 0.0000 4.4026" Properties=species:S:1:pos:R:3 pbc="T T T"
Er -1.2446 4.8729 1.0968
Er -0.9470 8.6689 1.0968
Er 3.5978 3.5143 3.3058
Er 2.1916 6.5131 1.0968
Er 6.7363 1.3586 3.3058
Er 7.0340 5.1545 3.3058
Tl 0.0000 0.0000 0.0000
Te -3.5084 6.9681 1.1010
Te 1.5090 3.5050 1.1010
Te 0.0000 6.6850 3.2972
Te 3.7899 0.4457 3.3016
Te 1.9994 9.5818 1.1010
Te 5.7894 3.3425 1.1055
Te 4.2804 6.5224 3.3016
Te 9.2978 3.0593 3.3016
```

Top 10 peaks for 15° ≤ 2θ ≤ 90°, in order of rising 2θ:
(hkl), d [Å], I_rel
0 1 1, 4.031, 34
1 2 0, 3.790, 25
3 0 0, 3.342, 37
0 2 1, 3.308, 34
2 1 1, 2.872, 100
3 1 0, 2.781, 47
4 -2 1, 2.419, 84
0 0 2, 2.201, 20
3 2 1, 2.039, 36
3 5 1, 1.362, 21



Entry 4:
# CsCaTcO4
Calculated powder XRD pattern, Cu Kα X-rays. Input: a DFT-relaxed cell (PBE, Alexandria).
Lines closer than 0.1° are merged.

Cell and atoms:
```
14
Lattice="6.1727 0.0000 0.0000 0.0000 6.1282 0.0000 -2.3087 0.0000 7.6610" Properties=species:S:1:pos:R:3 pbc="T T T"
Cs 0.3704 1.5321 3.3720
Cs 3.4936 4.5962 4.2890
Ca -0.2587 1.5321 7.3687
Ca 4.1227 4.5962 0.2923
Tc 1.0151 4.5962 1.1231
Tc 2.8489 1.5321 6.5379
O -2.0405 4.5962 7.1298
O -0.3890 4.5962 2.2922
O 2.3320 3.2526 1.2713
O 2.3320 5.9397 1.2713
O 1.5320 0.1885 6.3897
O 1.5320 2.8756 6.3897
O 4.2530 1.5321 5.3688
O 5.9045 1.5321 0.5312
```

Top 10 peaks for 15° ≤ 2θ ≤ 90°, in order of rising 2θ:
(hkl), d [Å], I_rel
1 0 -1, 5.511, 51
1 0 1, 4.138, 68
1 1 -1, 4.098, 90
1 1 1, 3.429, 70
0 1 2, 3.248, 97
1 1 -2, 3.196, 63
0 2 0, 3.065, 100
1 1 2, 2.592, 38
2 1 -2, 2.513, 48
2 2 0, 2.127, 52



Entry 5:
# LiGdHg
Calculated powder XRD pattern, Cu Kα X-rays. Input: a DFT-relaxed cell (PBE, Alexandria).
Lines closer than 0.1° are merged.

Cell and atoms:
```
6
Lattice="3.7650 0.0000 0.0000 0.0000 3.7650 0.0000 0.0000 0.0000 9.9327" Properties=species:S:1:pos:R:3 pbc="T T T"
Li 0.0000 0.0000 0.0000
Li 1.8825 1.8825 4.9663
Gd 0.0000 0.0000 3.0849
Gd 1.8825 1.8825 8.0512
Hg 0.0000 0.0000 6.2759
Hg 1.8825 1.8825 1.3095
```

Top 10 peaks for 15° ≤ 2θ ≤ 90°, in order of rising 2θ:
(hkl), d [Å], I_rel
0 0 2, 4.966, 24
1 0 1, 3.521, 63
1 1 0, 2.662, 56
1 0 3, 2.486, 100
1 1 2, 2.346, 15
2 0 0, 1.883, 21
1 1 4, 1.816, 14
2 1 1, 1.660, 15
2 1 3, 1.501, 46
1 1 6, 1.406, 15